No. 1
Starting from DFT lattice parameters and positions (PBE), the powder diffractogram of Ho2CrSi4Pt3 was simulated for Cu Kα (λ = 1.5418 Å).
Lines closer than 0.1° are merged.

Cell and atoms:
Cell: 4.087 4.087 10.223 Å, 90.00 90.00 90.00°
Fractional positions:
1 Ho 0.000 0.500 0.249
2 Ho 0.500 0.000 0.751
3 Cr 0.500 0.500 0.000
4 Si 0.000 0.000 0.500
5 Si 0.000 0.500 0.865
6 Si 0.500 0.000 0.135
7 Si 0.500 0.500 0.500
8 Pt 0.000 0.000 0.000
9 Pt 0.000 0.500 0.628
10 Pt 0.500 0.000 0.372

The 10 most intense peaks (2θ from 10° to 90°), low angle first:
2θ = 27.95°, d = 3.192 Å, intensity 55; 2θ = 30.94°, d = 2.890 Å, intensity 36; 2θ = 32.19°, d = 2.781 Å, intensity 51; 2θ = 34.26°, d = 2.617 Å, intensity 100; 2θ = 35.69°, d = 2.516 Å, intensity 97; 2θ = 44.32°, d = 2.044 Å, intensity 77; 2θ = 49.87°, d = 1.829 Å, intensity 44; 2θ = 57.19°, d = 1.611 Å, intensity 47; 2θ = 64.48°, d = 1.445 Å, intensity 31; 2θ = 68.91°, d = 1.363 Å, intensity 33

No. 2
Starting from DFT lattice parameters and positions (PBE), the powder diffractogram of Ce5CoTe3 was simulated for Cu Kα (λ = 1.5418 Å).
Lines closer than 0.1° are merged.

Cell and atoms:
Cell: 9.342 9.342 6.269 Å, 90.00 90.00 120.00°
Fractional positions:
1 Ce 0.000 0.244 0.250
2 Ce 0.000 0.756 0.750
3 Ce 0.244 0.000 0.250
4 Ce 0.244 0.244 0.750
5 Ce 0.333 0.667 0.000
6 Ce 0.333 0.667 0.500
7 Ce 0.667 0.333 0.000
8 Ce 0.667 0.333 0.500
9 Ce 0.756 0.000 0.750
10 Ce 0.756 0.756 0.250
11 Co 0.000 0.000 0.000
12 Co 0.000 0.000 0.500
13 Te 0.000 0.389 0.750
14 Te 0.000 0.611 0.250
15 Te 0.389 0.000 0.750
16 Te 0.389 0.389 0.250
17 Te 0.611 0.000 0.250
18 Te 0.611 0.611 0.750

The 10 most intense peaks (2θ from 10° to 90°), low angle first:
2θ = 28.48°, d = 3.134 Å, intensity 12; 2θ = 29.20°, d = 3.058 Å, intensity 20; 2θ = 32.58°, d = 2.748 Å, intensity 100; 2θ = 33.22°, d = 2.697 Å, intensity 59; 2θ = 34.46°, d = 2.603 Å, intensity 91; 2θ = 48.62°, d = 1.873 Å, intensity 26; 2θ = 51.34°, d = 1.780 Å, intensity 12; 2θ = 53.08°, d = 1.725 Å, intensity 25; 2θ = 64.85°, d = 1.438 Å, intensity 14; 2θ = 69.35°, d = 1.355 Å, intensity 14

No. 3
Starting from DFT lattice parameters and positions (PBE), the powder diffractogram of CsTh2Te3 was simulated for Cu Kα (λ = 1.5418 Å).
Lines closer than 0.1° are merged.

Cell and atoms:
Cell: 8.063 8.063 8.486 Å, 90.00 90.00 120.00°
Fractional positions:
1 Cs 0.000 0.000 0.250
2 Cs 0.000 0.000 0.750
3 Th 0.333 0.667 0.000
4 Th 0.333 0.667 0.500
5 Th 0.667 0.333 0.000
6 Th 0.667 0.333 0.500
7 Te 0.000 0.482 0.250
8 Te 0.000 0.518 0.750
9 Te 0.482 0.000 0.250
10 Te 0.482 0.482 0.750
11 Te 0.518 0.000 0.750
12 Te 0.518 0.518 0.250

The 10 most intense peaks (2θ from 10° to 90°), low angle first:
2θ = 12.68°, d = 6.983 Å, intensity 43; 2θ = 22.05°, d = 4.032 Å, intensity 54; 2θ = 24.55°, d = 3.626 Å, intensity 22; 2θ = 30.59°, d = 2.923 Å, intensity 47; 2θ = 33.23°, d = 2.696 Å, intensity 100; 2θ = 44.39°, d = 2.041 Å, intensity 16; 2θ = 44.97°, d = 2.016 Å, intensity 36; 2θ = 57.05°, d = 1.614 Å, intensity 20; 2θ = 63.68°, d = 1.461 Å, intensity 26; 2θ = 75.44°, d = 1.260 Å, intensity 17

No. 4
Starting from DFT lattice parameters and positions (PBE), the powder diffractogram of Li6GaCu was simulated for Cu Kα (λ = 1.5418 Å).
Lines closer than 0.1° are merged.

Cell and atoms:
Cell: 5.626 5.626 4.642 Å, 90.00 90.00 120.00°
Fractional positions:
1 Li 0.013 0.506 0.000
2 Li 0.321 0.161 0.500
3 Li 0.494 0.506 0.000
4 Li 0.494 0.987 0.000
5 Li 0.839 0.161 0.500
6 Li 0.839 0.679 0.500
7 Ga 0.333 0.667 0.500
8 Cu 0.000 0.000 0.000

The 10 most intense peaks (2θ from 10° to 90°), low angle first:
2θ = 18.21°, d = 4.872 Å, intensity 43; 2θ = 26.52°, d = 3.361 Å, intensity 100; 2θ = 31.81°, d = 2.813 Å, intensity 42; 2θ = 36.90°, d = 2.436 Å, intensity 12; 2θ = 38.80°, d = 2.321 Å, intensity 14; 2θ = 41.88°, d = 2.157 Å, intensity 50; 2θ = 43.18°, d = 2.095 Å, intensity 9; 2θ = 51.01°, d = 1.790 Å, intensity 21; 2θ = 53.53°, d = 1.712 Å, intensity 28; 2θ = 72.91°, d = 1.297 Å, intensity 10

Copy entry 4 word for word.
Starting from DFT lattice parameters and positions (PBE), the powder diffractogram of Li6GaCu was simulated for Cu Kα (λ = 1.5418 Å).
Lines closer than 0.1° are merged.

Cell and atoms:
Cell: 5.626 5.626 4.642 Å, 90.00 90.00 120.00°
Fractional positions:
1 Li 0.013 0.506 0.000
2 Li 0.321 0.161 0.500
3 Li 0.494 0.506 0.000
4 Li 0.494 0.987 0.000
5 Li 0.839 0.161 0.500
6 Li 0.839 0.679 0.500
7 Ga 0.333 0.667 0.500
8 Cu 0.000 0.000 0.000

The 10 most intense peaks (2θ from 10° to 90°), low angle first:
2θ = 18.21°, d = 4.872 Å, intensity 43; 2θ = 26.52°, d = 3.361 Å, intensity 100; 2θ = 31.81°, d = 2.813 Å, intensity 42; 2θ = 36.90°, d = 2.436 Å, intensity 12; 2θ = 38.80°, d = 2.321 Å, intensity 14; 2θ = 41.88°, d = 2.157 Å, intensity 50; 2θ = 43.18°, d = 2.095 Å, intensity 9; 2θ = 51.01°, d = 1.790 Å, intensity 21; 2θ = 53.53°, d = 1.712 Å, intensity 28; 2θ = 72.91°, d = 1.297 Å, intensity 10

Copy entry 2 word for word.
Starting from DFT lattice parameters and positions (PBE), the powder diffractogram of Ce5CoTe3 was simulated for Cu Kα (λ = 1.5418 Å).
Lines closer than 0.1° are merged.

Cell and atoms:
Cell: 9.342 9.342 6.269 Å, 90.00 90.00 120.00°
Fractional positions:
1 Ce 0.000 0.244 0.250
2 Ce 0.000 0.756 0.750
3 Ce 0.244 0.000 0.250
4 Ce 0.244 0.244 0.750
5 Ce 0.333 0.667 0.000
6 Ce 0.333 0.667 0.500
7 Ce 0.667 0.333 0.000
8 Ce 0.667 0.333 0.500
9 Ce 0.756 0.000 0.750
10 Ce 0.756 0.756 0.250
11 Co 0.000 0.000 0.000
12 Co 0.000 0.000 0.500
13 Te 0.000 0.389 0.750
14 Te 0.000 0.611 0.250
15 Te 0.389 0.000 0.750
16 Te 0.389 0.389 0.250
17 Te 0.611 0.000 0.250
18 Te 0.611 0.611 0.750

The 10 most intense peaks (2θ from 10° to 90°), low angle first:
2θ = 28.48°, d = 3.134 Å, intensity 12; 2θ = 29.20°, d = 3.058 Å, intensity 20; 2θ = 32.58°, d = 2.748 Å, intensity 100; 2θ = 33.22°, d = 2.697 Å, intensity 59; 2θ = 34.46°, d = 2.603 Å, intensity 91; 2θ = 48.62°, d = 1.873 Å, intensity 26; 2θ = 51.34°, d = 1.780 Å, intensity 12; 2θ = 53.08°, d = 1.725 Å, intensity 25; 2θ = 64.85°, d = 1.438 Å, intensity 14; 2θ = 69.35°, d = 1.355 Å, intensity 14